[1]
Diffraction record for YH3. The powder diffractogram is calculated, not measured: it uses a cell relaxed with PBE and Cu Kα (weighted mean of Kα1 and Kα2).

Largest 10 diffraction maxima, by angle, 10° ≤ 2θ ≤ 80°:
2θ = 27.17°, rel. 341
2θ = 28.30°, rel. 230
2θ = 31.47°, rel. 1000
2θ = 39.63°, rel. 170
2θ = 50.10°, rel. 192
2θ = 50.78°, rel. 272
2θ = 57.92°, rel. 231
2θ = 60.37°, rel. 150
2θ = 74.11°, rel. 83
2θ = 78.45°, rel. 91

Cell and atoms:
a = 6.307 Å, b = 6.307 Å, c = 6.565 Å
α = 90.00°, β = 90.00°, γ = 120.00°
Positions (direct):
Y  0.000  0.330  0.000
Y  0.000  0.670  0.500
Y  0.330  0.000  0.000
Y  0.330  0.330  0.500
Y  0.670  0.000  0.500
Y  0.670  0.670  0.000
H  0.000  0.000  0.069
H  0.000  0.000  0.569
H  0.000  0.304  0.342
H  0.000  0.355  0.658
H  0.000  0.645  0.158
H  0.000  0.696  0.842
H  0.304  0.000  0.342
H  0.304  0.304  0.842
H  0.333  0.667  0.451
H  0.333  0.667  0.951
H  0.355  0.000  0.658
H  0.355  0.355  0.158
H  0.645  0.000  0.158
H  0.645  0.645  0.658
H  0.667  0.333  0.451
H  0.667  0.333  0.951
H  0.696  0.000  0.842
H  0.696  0.696  0.342

***

[2]
Diffraction record for UMn4SnS8. The powder diffractogram is calculated, not measured: it uses a cell relaxed with PBE and Cu Kα (weighted mean of Kα1 and Kα2).

Largest 10 diffraction maxima, by angle, 10° ≤ 2θ ≤ 80°:
2θ = 14.36°, rel. 479
2θ = 16.52°, rel. 232
2θ = 23.60°, rel. 520
2θ = 27.34°, rel. 445
2θ = 27.60°, rel. 1000
2θ = 33.40°, rel. 406
2θ = 43.86°, rel. 298
2θ = 44.04°, rel. 290
2θ = 47.64°, rel. 382
2θ = 48.28°, rel. 417

Cell and atoms:
a = 7.637 Å, b = 7.637 Å, c = 7.637 Å
α = 59.16°, β = 59.16°, γ = 59.16°
Positions (direct):
U  0.000  0.000  0.000
Mn  0.000  0.000  0.505
Mn  0.000  0.505  0.000
Mn  0.505  0.000  0.000
Mn  0.637  0.637  0.637
Sn  0.367  0.367  0.367
S  0.230  0.230  0.230
S  0.243  0.755  0.755
S  0.249  0.249  0.785
S  0.249  0.785  0.249
S  0.755  0.243  0.755
S  0.755  0.755  0.243
S  0.766  0.766  0.766
S  0.785  0.249  0.249

***

[3]
Diffraction record for AsRuO. The powder diffractogram is calculated, not measured: it uses a cell relaxed with PBE and Cu Kα (weighted mean of Kα1 and Kα2).

Largest 10 diffraction maxima, by angle, 10° ≤ 2θ ≤ 80°:
2θ = 25.20°, rel. 539
2θ = 31.77°, rel. 669
2θ = 33.38°, rel. 1000
2θ = 34.64°, rel. 966
2θ = 36.01°, rel. 353
2θ = 46.74°, rel. 332
2θ = 47.70°, rel. 370
2θ = 52.74°, rel. 670
2θ = 56.66°, rel. 373
2θ = 56.86°, rel. 292

Cell and atoms:
a = 5.477 Å, b = 5.633 Å, c = 5.677 Å
α = 90.00°, β = 108.97°, γ = 90.00°
Positions (direct):
As  0.181  0.115  0.307
As  0.181  0.385  0.807
As  0.819  0.615  0.193
As  0.819  0.885  0.693
Ru  0.248  0.508  0.217
Ru  0.248  0.992  0.717
Ru  0.752  0.008  0.283
Ru  0.752  0.492  0.783
O  0.338  0.594  0.638
O  0.338  0.906  0.138
O  0.662  0.094  0.862
O  0.662  0.406  0.362